Entry 1:
For NaLi2Tl5, the GGA-PBE geometry in Alexandria gives the theoretical X-ray diffraction stick pattern in this record (copper Kα).
Kinematic intensities with the Lorentz-polarization factor, no thermal factor.

Main lines, low angle first (15° ≤ 2θ ≤ 90°):
d_spacing	Rel. int.
5.453	15
4.724	33
3.340	31
2.727	100
2.368	17
2.361	17
2.355	17
1.672	18
1.669	12
1.427	14
1.424	11
1.422	10

Atomic structure:
```
data_NaLi2Tl5
_cell_length_a 6.663
_cell_length_b 6.675
_cell_length_c 6.676
_cell_angle_alpha 119.84
_cell_angle_beta 90.16
_cell_angle_gamma 119.85
_symmetry_space_group_name_H-M 'P 1'
_symmetry_Int_Tables_number 1
loop_
_symmetry_equiv_pos_as_xyz
'x,y,z'
loop_
_atom_site_label
_atom_site_type_symbol
_atom_site_fract_x
_atom_site_fract_y
_atom_site_fract_z
Na1 Na 0.000 0.000 0.000
Li1 Li 0.000 0.500 0.999
Li2 Li 0.500 0.500 0.499
Tl1 Tl 0.000 0.500 0.499
Tl2 Tl 0.499 0.999 0.498
Tl3 Tl 0.500 0.000 0.999
Tl4 Tl 0.500 0.500 0.999
Tl5 Tl 0.999 0.000 0.500
```

Entry 2:
For NaLi3Tl2, the GGA-PBE geometry in Alexandria gives the theoretical X-ray diffraction stick pattern in this record (copper Kα).
Kinematic intensities with the Lorentz-polarization factor, no thermal factor.

Main lines, low angle first (15° ≤ 2θ ≤ 90°):
d_spacing	Rel. int.
5.387	69
4.434	58
3.424	70
3.110	100
2.546	96
2.302	29
1.850	25
1.805	43
1.796	21
1.664	28
1.395	18
1.136	17

Atomic structure:
```
data_NaLi3Tl2
_cell_length_a 6.2201
_cell_length_b 6.2201
_cell_length_c 4.4342
_cell_angle_alpha 90.00
_cell_angle_beta 90.00
_cell_angle_gamma 120.00
_symmetry_space_group_name_H-M 'P 6/m m m'
_symmetry_Int_Tables_number 191
_symmetry_space_group_name_Hall '-P 6 2'
loop_
_atom_site_label
_atom_site_type_symbol
_atom_site_fract_x
_atom_site_fract_y
_atom_site_fract_z
Na1 Na 0.0000 0.0000 0.0000
Li1 Li 0.0000 0.5000 0.0000
Tl1 Tl 0.3333 0.6667 0.5000
```

Entry 3:
For NaLiTl2V, the GGA-PBE geometry in Alexandria gives the theoretical X-ray diffraction stick pattern in this record (copper Kα).
Kinematic intensities with the Lorentz-polarization factor, no thermal factor.

Main lines, low angle first (15° ≤ 2θ ≤ 90°):
d_spacing	Rel. int.
4.373	52
3.770	55
2.856	100
2.666	52
2.276	39
2.187	15
1.892	17
1.885	19
1.731	17
1.691	27
1.573	34
1.428	15

Atomic structure:
```
data_NaLiTl2V
_cell_length_a 5.332
_cell_length_b 5.332
_cell_length_c 4.373
_cell_angle_alpha 90.00
_cell_angle_beta 90.00
_cell_angle_gamma 90.00
_symmetry_space_group_name_H-M 'P 4/m m m'
_symmetry_Int_Tables_number 123
_symmetry_space_group_name_Hall '-P 4 2'
loop_
_atom_site_label
_atom_site_type_symbol
_atom_site_fract_x
_atom_site_fract_y
_atom_site_fract_z
Na1 Na 0.000 0.000 0.000
Li1 Li 0.000 0.000 0.500
Tl1 Tl 0.000 0.500 0.000
V1 V 0.500 0.500 0.500
```

Entry 4:
For NaLi3V, the GGA-PBE geometry in Alexandria gives the theoretical X-ray diffraction stick pattern in this record (copper Kα).
Kinematic intensities with the Lorentz-polarization factor, no thermal factor.

Main lines, low angle first (15° ≤ 2θ ≤ 90°):
d_spacing	Rel. int.
5.214	25
3.687	100
2.607	32
2.332	11
2.128	41
1.843	22
1.738	5
1.649	17
1.505	7
1.393	18
1.229	8
1.166	8

Atomic structure:
```
data_NaLi3V
_cell_length_a 5.214
_cell_length_b 5.214
_cell_length_c 5.214
_cell_angle_alpha 90.00
_cell_angle_beta 90.00
_cell_angle_gamma 90.00
_symmetry_space_group_name_H-M 'P m -3 m'
_symmetry_Int_Tables_number 221
_symmetry_space_group_name_Hall '-P 4 2 3'
loop_
_atom_site_label
_atom_site_type_symbol
_atom_site_fract_x
_atom_site_fract_y
_atom_site_fract_z
Na1 Na 0.000 0.000 0.000
Li1 Li 0.000 0.500 0.500
V1 V 0.500 0.500 0.500
```